The following is a computed powder XRD pattern of Tb4CSe2. It was derived from a crystal structure in Alexandria, relaxed with GGA-PBE, using CuKα.
No peak broadening, texture or thermal motion is included.

Main lines, in order of falling intensity (2θ from 10° to 90°):
2theta	intensity
31.7	100
45.5	40
27.9	32
26.9	28
13.3	25
46.9	13
41.2	11
57.7	11
35.0	11
58.1	11

Structure:
```
7
Lattice="4.099 -5.647 0.000 4.099 5.647 0.000 0.000 0.000 3.876" Properties=species:S:1:pos:R:3 pbc="T T T"
Tb 1.672 0.000 1.938
Tb 4.099 3.157 0.000
Tb 4.099 -3.157 0.000
Tb 6.525 0.000 1.938
C 0.000 0.000 0.000
Se 2.049 2.823 1.938
Se 2.049 -2.823 1.938
```

***

The following is a computed powder XRD pattern of Tb6TeC3Se2. It was derived from a crystal structure in Alexandria, relaxed with GGA-PBE, using CuKα.
No peak broadening, texture or thermal motion is included.

Main lines, in order of falling intensity (2θ from 10° to 90°):
2theta	intensity
32.3	100
47.7	39
28.4	37
35.0	32
63.9	22
58.8	18
45.0	16
78.9	15
40.0	14
27.3	14

Structure:
```
12
Lattice="8.729 -1.908 0.000 8.729 1.908 0.000 -2.462 0.000 7.687" Properties=species:S:1:pos:R:3 pbc="T T T"
Tb -0.318 0.000 1.653
Tb 4.487 0.000 3.394
Tb 3.777 0.000 6.852
Tb 11.219 0.000 0.835
Tb 10.508 0.000 4.293
Tb 15.314 0.000 6.034
Te 7.498 0.000 3.844
C 2.120 0.000 2.542
C 8.729 0.000 0.000
C 12.876 0.000 5.145
Se 0.856 0.000 6.402
Se 14.140 0.000 1.285
```

***

The following is a computed powder XRD pattern of Te2CSe2. It was derived from a crystal structure in Alexandria, relaxed with GGA-PBE, using CuKα.
No peak broadening, texture or thermal motion is included.

Main lines, in order of falling intensity (2θ from 10° to 90°):
2theta	intensity
24.7	100
36.0	88
29.2	52
53.4	37
42.4	35
49.7	32
34.6	32
58.7	28
39.9	27
56.3	21

Structure:
```
5
Lattice="-1.835 1.835 9.161 1.835 -1.835 9.161 1.835 1.835 -9.161" Properties=species:S:1:pos:R:3 pbc="T T T"
Te 0.000 0.000 1.321
Te 0.000 0.000 17.000
C 0.000 0.000 9.161
Se 1.835 0.000 4.580
Se 0.000 1.835 4.580
```

***

The following is a computed powder XRD pattern of Th3TeCSe. It was derived from a crystal structure in Alexandria, relaxed with GGA-PBE, using CuKα.
No peak broadening, texture or thermal motion is included.

Main lines, in order of falling intensity (2θ from 10° to 90°):
2theta	intensity
30.1	100
28.1	75
28.6	62
38.9	53
32.6	51
57.7	41
33.1	40
23.0	40
34.2	39
34.7	38

Structure:
```
12
Lattice="7.266 0.000 0.000 0.000 3.795 0.000 -2.752 0.000 11.581" Properties=species:S:1:pos:R:3 pbc="T T T"
Th 0.795 0.949 1.418
Th 0.582 2.846 5.825
Th -0.222 2.846 10.075
Th 4.735 0.949 1.507
Th 3.931 0.949 5.756
Th 3.718 2.846 10.163
Te 2.748 2.846 3.426
Te 1.765 0.949 8.155
C -1.783 0.949 10.558
C 6.297 2.846 1.023
Se -0.886 0.949 4.074
Se 5.400 2.846 7.507
```

***

The following is a computed powder XRD pattern of Th2CSe2. It was derived from a crystal structure in Alexandria, relaxed with GGA-PBE, using CuKα.
No peak broadening, texture or thermal motion is included.

Main lines, in order of falling intensity (2θ from 10° to 90°):
2theta	intensity
27.3	100
29.8	76
36.3	76
25.5	66
32.5	52
37.4	46
25.0	43
23.5	43
43.4	37
36.1	36

Structure:
```
10
Lattice="2.083 -7.894 0.000 2.083 7.894 0.000 0.000 0.000 7.567" Properties=species:S:1:pos:R:3 pbc="T T T"
Th 2.083 7.170 3.784
Th 2.083 2.526 2.854
Th 2.083 -2.526 6.638
Th 2.083 -7.170 0.000
C 2.083 6.510 6.194
C 2.083 -6.510 2.410
Se 2.083 3.206 0.008
Se 2.083 0.883 5.247
Se 2.083 -0.883 1.464
Se 2.083 -3.206 3.791
```

***

The following is a computed powder XRD pattern of Th4C2Se3. It was derived from a crystal structure in Alexandria, relaxed with GGA-PBE, using CuKα.
No peak broadening, texture or thermal motion is included.

Main lines, in order of falling intensity (2θ from 10° to 90°):
2theta	intensity
27.1	100
26.1	96
27.0	66
30.3	50
39.1	45
30.1	43
45.0	35
30.4	32
34.8	30
38.9	29

Structure:
```
18
Lattice="6.613 -5.099 0.000 6.613 5.099 0.000 -0.164 0.000 6.568" Properties=species:S:1:pos:R:3 pbc="T T T"
Th 4.894 3.238 3.503
Th 4.450 0.810 0.435
Th 8.085 3.238 6.349
Th 4.368 -0.810 3.720
Th 8.693 0.810 2.849
Th 4.976 -3.238 0.219
Th 8.610 -0.810 6.133
Th 8.167 -3.238 3.065
C 3.805 1.277 2.672
C 3.723 -1.277 5.956
C 9.338 1.277 0.612
C 9.256 -1.277 3.896
Se 5.116 3.813 0.182
Se 8.027 3.813 3.102
Se 6.489 1.017 4.926
Se 6.572 -1.017 1.642
Se 5.034 -3.813 3.466
Se 7.945 -3.813 6.386
```